[1]
The following is a simulated X-ray diffraction stick pattern of Ce10Se19. It was derived from a crystal structure in the Materials Project, relaxed with GGA-PBE, using copper Kα.

Most intense lines, 10° ≤ 2θ ≤ 80°, by angle:
d (Å), intensity
3.752, 42
2.971, 46
2.798, 63
2.778, 29
2.419, 100
2.317, 56
2.101, 58
1.556, 32

Atomic structure:
```
data_Ce10Se19
_chemical_formula_sum 'Ce20 Se38'
_space_group_name_H-M_alt 'P 1'
_space_group_IT_number 1
_cell_length_a 9.394
_cell_length_b 9.394
_cell_length_c 16.668
_cell_angle_alpha 90.00
_cell_angle_beta 90.00
_cell_angle_gamma 90.00
loop_
_space_group_symop_operation_xyz
'x,y,z'
loop_
_atom_site_label
_atom_site_fract_x
_atom_site_fract_y
_atom_site_fract_z
Ce1 0.043 0.349 0.120
Ce2 0.052 0.353 0.608
Ce3 0.147 0.052 0.892
Ce4 0.151 0.043 0.380
Ce5 0.250 0.750 0.119
Ce6 0.250 0.750 0.619
Ce7 0.349 0.457 0.380
Ce8 0.353 0.448 0.892
Ce9 0.448 0.147 0.608
Ce10 0.457 0.151 0.120
Ce11 0.543 0.849 0.880
Ce12 0.552 0.853 0.392
Ce13 0.647 0.552 0.108
Ce14 0.651 0.543 0.620
Ce15 0.750 0.250 0.381
Ce16 0.750 0.250 0.881
Ce17 0.849 0.957 0.620
Ce18 0.853 0.948 0.108
Ce19 0.948 0.647 0.392
Ce20 0.957 0.651 0.880
Se1 0.026 0.829 0.250
Se2 0.049 0.348 0.427
Se3 0.054 0.350 0.935
Se4 0.059 0.869 0.750
Se5 0.131 0.559 0.250
Se6 0.150 0.054 0.565
Se7 0.152 0.049 0.073
Se8 0.171 0.526 0.750
Se9 0.250 0.250 0.250
Se10 0.250 0.750 0.434
Se11 0.250 0.750 0.934
Se12 0.329 0.974 0.750
Se13 0.348 0.451 0.073
Se14 0.350 0.446 0.565
Se15 0.369 0.941 0.250
Se16 0.441 0.631 0.750
Se17 0.446 0.150 0.935
Se18 0.451 0.152 0.427
Se19 0.474 0.671 0.250
Se20 0.526 0.329 0.750
Se21 0.549 0.848 0.573
Se22 0.554 0.850 0.065
Se23 0.559 0.369 0.250
Se24 0.631 0.059 0.750
Se25 0.650 0.554 0.435
Se26 0.652 0.549 0.927
Se27 0.671 0.026 0.250
Se28 0.750 0.250 0.066
Se29 0.750 0.250 0.566
Se30 0.750 0.750 0.750
Se31 0.829 0.474 0.250
Se32 0.848 0.951 0.927
Se33 0.850 0.946 0.435
Se34 0.869 0.441 0.750
Se35 0.941 0.131 0.250
Se36 0.946 0.650 0.065
Se37 0.951 0.652 0.573
Se38 0.974 0.171 0.750
```

=====

[2]
The following is a simulated X-ray diffraction stick pattern of Ce2SnSe4. It was derived from a crystal structure in the Materials Project, relaxed with GGA-PBE, using copper Kα.

Most intense lines, 10° ≤ 2θ ≤ 80°, by angle:
d (Å), intensity
3.609, 53
3.521, 55
3.177, 100
2.899, 59
2.592, 76
2.498, 60
2.357, 43
2.150, 68

Atomic structure:
```
data_Ce2SnSe4
_chemical_formula_sum 'Ce8 Sn4 Se16'
_space_group_name_H-M_alt 'P 1'
_space_group_IT_number 1
_cell_length_a 12.274
_cell_length_b 4.300
_cell_length_c 15.317
_cell_angle_alpha 90.00
_cell_angle_beta 90.00
_cell_angle_gamma 90.00
loop_
_space_group_symop_operation_xyz
'x,y,z'
loop_
_atom_site_label
_atom_site_fract_x
_atom_site_fract_y
_atom_site_fract_z
Ce1 0.062 0.250 0.103
Ce2 0.104 0.250 0.596
Ce3 0.396 0.750 0.096
Ce4 0.438 0.750 0.603
Ce5 0.562 0.250 0.397
Ce6 0.604 0.250 0.904
Ce7 0.896 0.750 0.404
Ce8 0.938 0.750 0.897
Sn1 0.236 0.250 0.838
Sn2 0.264 0.750 0.338
Sn3 0.736 0.250 0.662
Sn4 0.764 0.750 0.162
Se1 0.018 0.250 0.788
Se2 0.057 0.250 0.410
Se3 0.158 0.750 0.988
Se4 0.234 0.750 0.696
Se5 0.266 0.250 0.196
Se6 0.342 0.250 0.488
Se7 0.443 0.750 0.910
Se8 0.482 0.750 0.288
Se9 0.518 0.250 0.712
Se10 0.557 0.250 0.090
Se11 0.658 0.750 0.512
Se12 0.734 0.750 0.804
Se13 0.766 0.250 0.304
Se14 0.842 0.250 0.012
Se15 0.943 0.750 0.590
Se16 0.982 0.750 0.212
```

=====

[3]
The following is a simulated X-ray diffraction stick pattern of SrCe2Se4. It was derived from a crystal structure in the Materials Project, relaxed with GGA-PBE, using copper Kα.

Most intense lines, 10° ≤ 2θ ≤ 80°, by angle:
d (Å), intensity
3.702, 19
2.868, 100
2.424, 68
2.028, 21
1.933, 15
1.779, 18
1.471, 29
1.234, 19

Atomic structure:
```
data_SrCe2Se4
_chemical_formula_sum 'Sr2 Ce4 Se8'
_space_group_name_H-M_alt 'P 1'
_space_group_IT_number 1
_cell_length_a 7.854
_cell_length_b 7.854
_cell_length_c 7.854
_cell_angle_alpha 109.45
_cell_angle_beta 109.45
_cell_angle_gamma 109.51
loop_
_space_group_symop_operation_xyz
'x,y,z'
loop_
_atom_site_label
_atom_site_fract_x
_atom_site_fract_y
_atom_site_fract_z
Sr1 0.000 0.000 0.000
Sr2 0.750 0.250 0.500
Ce1 0.248 0.125 0.623
Ce2 0.375 0.752 0.877
Ce3 0.502 0.625 0.377
Ce4 0.875 0.498 0.123
Se1 0.134 0.385 0.405
Se2 0.135 0.384 0.905
Se3 0.271 0.866 0.251
Se4 0.479 0.230 0.095
Se5 0.615 0.020 0.749
Se6 0.616 0.521 0.751
Se7 0.770 0.865 0.249
Se8 0.980 0.729 0.595
```

=====

[4]
The following is a simulated X-ray diffraction stick pattern of Ce2USe5. It was derived from a crystal structure in the Materials Project, relaxed with GGA-PBE, using copper Kα.

Most intense lines, 10° ≤ 2θ ≤ 80°, by angle:
d (Å), intensity
3.664, 54
3.569, 44
3.500, 41
2.611, 100
2.506, 52
2.117, 40
2.069, 58
1.833, 52

Atomic structure:
```
data_Ce2USe5
_chemical_formula_sum 'Ce8 U4 Se20'
_space_group_name_H-M_alt 'P 1'
_space_group_IT_number 1
_cell_length_a 12.433
_cell_length_b 8.470
_cell_length_c 7.843
_cell_angle_alpha 90.00
_cell_angle_beta 90.00
_cell_angle_gamma 90.00
loop_
_space_group_symop_operation_xyz
'x,y,z'
loop_
_atom_site_label
_atom_site_fract_x
_atom_site_fract_y
_atom_site_fract_z
Ce1 0.178 0.000 0.029
Ce2 0.178 0.500 0.029
Ce3 0.322 0.000 0.529
Ce4 0.322 0.500 0.529
Ce5 0.678 0.000 0.471
Ce6 0.678 0.500 0.471
Ce7 0.822 0.000 0.971
Ce8 0.822 0.500 0.971
U1 0.008 0.250 0.572
U2 0.492 0.750 0.072
U3 0.508 0.250 0.928
U4 0.992 0.750 0.428
Se1 0.001 0.250 0.957
Se2 0.095 0.543 0.669
Se3 0.095 0.957 0.669
Se4 0.188 0.250 0.333
Se5 0.216 0.750 0.307
Se6 0.284 0.250 0.807
Se7 0.312 0.750 0.833
Se8 0.405 0.043 0.169
Se9 0.405 0.457 0.169
Se10 0.499 0.750 0.457
Se11 0.501 0.250 0.543
Se12 0.595 0.543 0.831
Se13 0.595 0.957 0.831
Se14 0.688 0.250 0.167
Se15 0.716 0.750 0.193
Se16 0.784 0.250 0.693
Se17 0.812 0.750 0.667
Se18 0.905 0.043 0.331
Se19 0.905 0.457 0.331
Se20 0.999 0.750 0.043
```

=====

[5]
The following is a simulated X-ray diffraction stick pattern of Ce2USe4. It was derived from a crystal structure in the Materials Project, relaxed with GGA-PBE, using copper Kα.

Most intense lines, 10° ≤ 2θ ≤ 80°, by angle:
d (Å), intensity
3.617, 63
2.805, 100
2.794, 56
2.369, 83
2.364, 26
1.983, 27
1.889, 30
1.439, 34

Atomic structure:
```
data_Ce2USe4
_chemical_formula_sum 'Ce4 U2 Se8'
_space_group_name_H-M_alt 'P 1'
_space_group_IT_number 1
_cell_length_a 7.673
_cell_length_b 7.673
_cell_length_c 7.673
_cell_angle_alpha 109.35
_cell_angle_beta 109.35
_cell_angle_gamma 109.72
loop_
_space_group_symop_operation_xyz
'x,y,z'
loop_
_atom_site_label
_atom_site_fract_x
_atom_site_fract_y
_atom_site_fract_z
Ce1 0.001 0.625 0.876
Ce2 0.375 0.251 0.376
Ce3 0.749 0.125 0.124
Ce4 0.875 0.999 0.624
U1 0.250 0.750 0.500
U2 0.500 0.500 0.000
Se1 0.129 0.380 0.601
Se2 0.130 0.379 0.101
Se3 0.278 0.029 0.899
Se4 0.472 0.871 0.250
Se5 0.620 0.221 0.750
Se6 0.621 0.722 0.750
Se7 0.779 0.528 0.399
Se8 0.971 0.870 0.250
```

=====

[6]
The following is a simulated X-ray diffraction stick pattern of Ce2ZrSe5. It was derived from a crystal structure in the Materials Project, relaxed with GGA-PBE, using copper Kα.

Most intense lines, 10° ≤ 2θ ≤ 80°, by angle:
d (Å), intensity
3.560, 32
2.804, 48
2.776, 100
2.724, 81
2.577, 78
2.452, 37
2.115, 44
2.019, 32

Atomic structure:
```
data_Ce2ZrSe5
_chemical_formula_sum 'Ce8 Zr4 Se20'
_space_group_name_H-M_alt 'P 1'
_space_group_IT_number 1
_cell_length_a 12.036
_cell_length_b 8.461
_cell_length_c 7.720
_cell_angle_alpha 90.00
_cell_angle_beta 90.00
_cell_angle_gamma 90.00
loop_
_space_group_symop_operation_xyz
'x,y,z'
loop_
_atom_site_label
_atom_site_fract_x
_atom_site_fract_y
_atom_site_fract_z
Ce1 0.174 0.001 0.049
Ce2 0.174 0.499 0.049
Ce3 0.326 0.501 0.549
Ce4 0.326 0.999 0.549
Ce5 0.674 0.001 0.451
Ce6 0.674 0.499 0.451
Ce7 0.826 0.501 0.951
Ce8 0.826 0.999 0.951
Zr1 0.009 0.750 0.578
Zr2 0.491 0.250 0.078
Zr3 0.509 0.750 0.922
Zr4 0.991 0.250 0.422
Se1 0.004 0.750 0.948
Se2 0.080 0.038 0.675
Se3 0.080 0.462 0.675
Se4 0.190 0.750 0.349
Se5 0.210 0.250 0.330
Se6 0.290 0.750 0.830
Se7 0.310 0.250 0.849
Se8 0.420 0.538 0.175
Se9 0.420 0.962 0.175
Se10 0.496 0.250 0.448
Se11 0.504 0.750 0.552
Se12 0.580 0.038 0.825
Se13 0.580 0.462 0.825
Se14 0.690 0.750 0.151
Se15 0.710 0.250 0.170
Se16 0.790 0.750 0.670
Se17 0.810 0.250 0.651
Se18 0.920 0.538 0.325
Se19 0.920 0.962 0.325
Se20 0.996 0.250 0.052
```